Simulated PXRD pattern of NdYGaGe for λ = 1.5418 Å (Cu Kα), from the PBE geometry in Alexandria.
Kinematic intensities with the Lorentz-polarization factor, no thermal factor.

Structure:
Cell: 4.062 4.405 11.044 Å, 90.00 90.00 90.00°
Element x y z (fractional)
Nd: 0.000 0.000 0.000
Nd: 0.000 0.500 0.500
Y: 0.500 0.000 0.280
Y: 0.500 0.500 0.780
Ga: 0.500 0.000 0.566
Ga: 0.500 0.500 0.066
Ge: 0.000 0.000 0.720
Ge: 0.000 0.500 0.220

The 12 most intense peaks (2θ from 10° to 90°), in order of rising 2θ:
- 2.883 Å, 31.02°, I 100, (1 1 1)
- 2.825 Å, 31.68°, I 38, (0 1 3)
- 2.761 Å, 32.43°, I 26, (0 0 4)
- 2.319 Å, 38.83°, I 59, (1 1 3)
- 2.283 Å, 39.46°, I 22, (1 0 4)
- 2.202 Å, 40.98°, I 27, (0 2 0)
- 2.031 Å, 44.62°, I 21, (2 0 0)
- 1.649 Å, 55.75°, I 15, (2 1 3)
- 1.585 Å, 58.20°, I 14, (1 2 4)
- 1.493 Å, 62.17°, I 15, (2 2 0)
- 1.485 Å, 62.53°, I 15, (0 1 7)
- 1.199 Å, 80.03°, I 14, (2 1 7)